Diffraction record for RbNb3Te5. The powder diffraction line list is calculated, not measured: it uses the GGA-PBE geometry in OQMD and a wavelength of 1.5418 Å.

Cell and atoms:
a = 6.0505 Å, b = 6.0505 Å, c = 8.6760 Å
α = 90.00°, β = 90.00°, γ = 120.00°
Space group P6/mmm (No. 191)
Inequivalent atoms, fractional coordinates:
Rb1 0.0000 0.0000 0.0000 x1
Nb1 0.0000 0.5000 0.5000 x3
Te1 0.0000 0.0000 0.5000 x1
Te2 0.3333 0.6667 0.2405 x4

Main lines, sorted by position (15 to 90 degrees two-theta):
Position (°2θ), d/Å, I_rel, hkl
26.7, 3.341, 71, 1 0 2
29.5, 3.025, 78, 1 1 0
35.8, 2.508, 29, 2 0 1
36.2, 2.481, 35, 1 1 2
40.2, 2.243, 100, 2 0 2
41.6, 2.169, 26, 0 0 4
51.9, 1.763, 31, 1 1 4
76.8, 1.241, 26, 2 2 4

=====

Diffraction record for NbRe5. The powder diffraction line list is calculated, not measured: it uses the GGA-PBE geometry in OQMD and a wavelength of 1.5418 Å.

Cell and atoms:
a = 5.1349 Å, b = 5.1349 Å, c = 8.3654 Å
α = 90.00°, β = 90.00°, γ = 120.00°
Space group P6_3mc (No. 186)
Inequivalent atoms, fractional coordinates:
Nb1 0.3333 0.6667 0.0000 x2
Re1 0.0000 0.0000 0.0588 x2
Re2 0.1722 0.3445 0.3119 x6
Re3 0.3333 0.6667 0.6350 x2

Main lines, sorted by position (15 to 90 degrees two-theta):
Position (°2θ), d/Å, I_rel, hkl
38.1, 2.362, 64, 1 0 3
41.3, 2.188, 94, 1 1 2
42.0, 2.149, 100, 2 0 1
46.2, 1.963, 31, 2 0 2
64.8, 1.440, 22, 2 1 3
67.0, 1.397, 23, 3 0 2
70.4, 1.337, 30, 2 0 5
73.8, 1.284, 29, 2 2 0

=====

Diffraction record for Nb2S3. The powder diffraction line list is calculated, not measured: it uses the GGA-PBE geometry in OQMD and a wavelength of 1.5418 Å.

Cell and atoms:
a = 13.941 Å, b = 3.377 Å, c = 8.696 Å
α = 90.00°, β = 90.00°, γ = 90.00°
Space group Pnma (No. 62)
Inequivalent atoms, fractional coordinates:
Nb1 0.028 0.250 0.188 x4
Nb2 0.083 0.750 0.460 x4
S1 0.082 0.250 0.681 x4
S2 0.104 0.750 0.017 x4
S3 0.183 0.250 0.331 x4

Main lines, sorted by position (15 to 90 degrees two-theta):
Position (°2θ), d/Å, I_rel, hkl
16.3, 5.439, 37, 2 0 1
32.9, 2.719, 31, 4 0 2
34.2, 2.620, 57, 1 1 2
36.1, 2.491, 100, 2 1 2
36.5, 2.459, 27, 3 0 3
38.5, 2.336, 29, 4 1 1
42.7, 2.118, 45, 4 1 2
54.3, 1.689, 28, 0 2 0

=====

Diffraction record for NbS2. The powder diffraction line list is calculated, not measured: it uses the GGA-PBE geometry in OQMD and a wavelength of 1.5418 Å.

Cell and atoms:
a = 3.356 Å, b = 5.783 Å, c = 22.053 Å
α = 90.00°, β = 93.13°, γ = 90.00°
Space group C2 (No. 5)
Inequivalent atoms, fractional coordinates:
Nb1 0.000 0.000 0.000 x2
S1 0.026 0.334 0.071 x4

Main lines, sorted by position (15 to 90 degrees two-theta):
Position (°2θ), d/Å, I_rel, hkl
16.1, 5.505, 90, 0 0 4
30.9, 2.895, 100, 0 2 0
37.2, 2.417, 49, 0 2 5
38.0, 2.371, 51, 1 1 5
38.7, 2.329, 51, 1 1 -6
39.7, 2.271, 50, 0 2 6
40.6, 2.224, 49, 1 1 6
55.0, 1.670, 63, 1 3 0

=====

Diffraction record for NbS2. The powder diffraction line list is calculated, not measured: it uses the GGA-PBE geometry in OQMD and a wavelength of 1.5418 Å.

Cell and atoms:
a = 23.389 Å, b = 3.355 Å, c = 5.804 Å
α = 90.00°, β = 90.00°, γ = 90.00°
Space group Amm2 (No. 38)
Inequivalent atoms, fractional coordinates:
Nb1 0.000 0.000 0.000 x2
Nb2 0.500 0.000 0.497 x2
S1 0.066 0.000 0.332 x4
S2 0.433 0.000 0.830 x4

Main lines, sorted by position (15 to 90 degrees two-theta):
Position (°2θ), d/Å, I_rel, hkl
15.2, 5.847, 100, 4 0 0
31.0, 2.882, 63, 1 1 1
32.9, 2.722, 57, 3 1 1
36.4, 2.467, 76, 5 1 1
38.7, 2.328, 41, 6 0 2
41.2, 2.192, 76, 7 1 1
46.9, 1.937, 45, 9 1 1
54.9, 1.671, 49, 14 0 0

=====

Diffraction record for NbS4. The powder diffraction line list is calculated, not measured: it uses the GGA-PBE geometry in OQMD and a wavelength of 1.5418 Å.

Cell and atoms:
a = 12.176 Å, b = 6.518 Å, c = 8.741 Å
α = 90.00°, β = 132.45°, γ = 90.00°
Space group C2/m (No. 12)
Inequivalent atoms, fractional coordinates:
Nb1 0.000 0.246 0.000 x4
S1 0.024 0.151 0.734 x8
S2 0.149 0.500 0.270 x4
S3 0.200 0.000 0.190 x4

Main lines, sorted by position (15 to 90 degrees two-theta):
Position (°2θ), d/Å, I_rel, hkl
19.8, 4.492, 100, 2 0 0
20.4, 4.363, 30, 2 0 -2
30.7, 2.909, 31, 0 2 1
32.9, 2.721, 51, 4 0 -3
34.0, 2.638, 75, 2 2 0
39.3, 2.292, 36, 0 2 2
41.8, 2.160, 43, 2 2 1
42.4, 2.130, 26, 2 2 -3